No. 1
This entry pairs a crystal structure of YZn2CuPt4 with its simulated XRD peak list. Radiation: Cu Kα X-rays. Structure: a cell relaxed with GGA-PBE.
No peak broadening, texture or thermal motion is included.

Structural model:
```
YZn2CuPt4
1.0
2.187 1.263 8.001
-2.187 1.263 8.001
0.000 -2.526 8.001
Y Zn Cu Pt
1 2 1 4
Cartesian
0.000 0.000 0.000
0.000 0.000 5.809
0.000 0.000 18.193
0.000 0.000 12.001
0.000 0.000 3.060
0.000 0.000 9.496
0.000 0.000 14.505
0.000 0.000 20.941
```

The 10 most intense peaks (5 to 70 degrees two-theta), sorted by position:
Position (°2θ)  I (rel.)
11.06  12
27.85  42
35.31  14
38.27  81
41.27  100
44.70  8
48.12  20
50.53  9
57.55  29
65.22  8

---

No. 2
This entry pairs a crystal structure of ZnCu8Pt3 with its simulated XRD peak list. Radiation: Cu Kα X-rays. Structure: a cell relaxed with GGA-PBE.
No peak broadening, texture or thermal motion is included.

Structural model:
```
ZnCu8Pt3
1.0
-3.306 3.306 4.279
3.306 -3.306 4.279
3.306 3.306 -4.279
Zn Cu Pt
1 8 3
Cartesian
0.000 0.000 0.000
2.424 2.424 -2.281
1.592 1.592 -0.257
1.714 -1.714 4.536
0.882 0.882 1.998
0.882 -0.882 6.560
1.714 1.714 4.022
-1.714 1.714 4.536
-0.882 0.882 6.560
3.306 0.000 2.139
0.000 0.000 4.279
0.000 3.306 2.139
```

The 10 most intense peaks (5 to 70 degrees two-theta), sorted by position:
Position (°2θ)  I (rel.)
26.97  22
28.27  95
32.02  29
34.27  31
38.51  64
42.24  35
44.11  14
48.45  100
50.85  17
58.48  34

---

No. 3
This entry pairs a crystal structure of Zn8Cu2Pt with its simulated XRD peak list. Radiation: Cu Kα X-rays. Structure: a cell relaxed with GGA-PBE.
No peak broadening, texture or thermal motion is included.

Structural model:
```
Zn8Cu2Pt
1.0
4.151 0.000 0.000
-0.003 6.378 0.000
-1.990 -3.188 6.062
Zn Cu Pt
8 2 1
Cartesian
0.000 0.000 0.000
-0.018 3.050 0.391
0.039 1.148 2.493
0.047 3.224 4.081
0.055 1.156 5.680
2.101 -0.134 1.711
2.083 3.185 2.102
2.125 -1.285 4.081
0.022 4.900 2.251
0.069 -1.473 5.907
2.122 1.397 4.084
```

The 10 most intense peaks (5 to 70 degrees two-theta), sorted by position:
Position (°2θ)  I (rel.)
15.70  26
31.71  31
39.19  23
39.67  23
41.99  100
42.32  98
42.93  17
43.21  24
43.61  60
44.85  33

---

No. 4
This entry pairs a crystal structure of Zn3Cu5Pt with its simulated XRD peak list. Radiation: Cu Kα X-rays. Structure: a cell relaxed with GGA-PBE.
No peak broadening, texture or thermal motion is included.

Structural model:
```
Zn3Cu5Pt
1.0
-3.553 3.553 5.182
3.553 -3.553 5.182
3.553 3.553 -5.182
Zn Cu Pt
6 10 2
Cartesian
4.350 0.798 0.000
0.000 0.000 2.591
0.798 2.755 0.000
2.755 0.798 5.182
0.000 0.000 7.773
-0.798 2.755 5.182
0.000 0.000 0.000
2.080 1.473 -1.376
2.080 -1.473 3.806
2.080 1.473 1.376
2.080 -1.473 6.558
0.000 0.000 5.182
1.473 5.026 -1.376
1.473 2.080 3.806
1.473 5.026 1.376
1.473 2.080 6.558
3.553 0.000 2.591
0.000 3.553 2.591
```

The 10 most intense peaks (5 to 70 degrees two-theta), sorted by position:
Position (°2θ)  I (rel.)
17.65  32
30.51  16
35.74  72
38.49  33
39.88  16
43.22  100
43.92  32
46.93  16
54.61  17
69.38  24

---

No. 5
This entry pairs a crystal structure of ZnCuPt with its simulated XRD peak list. Radiation: Cu Kα X-rays. Structure: a cell relaxed with GGA-PBE.
No peak broadening, texture or thermal motion is included.

Structural model:
```
ZnCuPt
1.0
2.938 0.000 0.000
0.000 2.938 0.000
0.000 0.000 9.598
Zn Cu Pt
2 2 2
Cartesian
0.000 0.000 0.000
1.469 1.469 4.799
0.000 0.000 6.294
1.469 1.469 1.494
0.000 0.000 3.163
1.469 1.469 7.963
```

The 10 most intense peaks (5 to 70 degrees two-theta), sorted by position:
Position (°2θ)  I (rel.)
18.49  22
31.86  29
37.48  6
41.74  100
43.57  44
47.71  8
57.34  4
57.62  9
58.79  7
63.32  14

---

No. 6
This entry pairs a crystal structure of Zn12Cu7Pt with its simulated XRD peak list. Radiation: Cu Kα X-rays. Structure: a cell relaxed with GGA-PBE.
No peak broadening, texture or thermal motion is included.

Structural model:
```
Zn12Cu7Pt
1.0
-4.489 4.489 4.489
4.489 -4.489 4.489
4.489 4.489 -4.489
Zn Cu Pt
12 7 1
Cartesian
4.489 3.145 -2.088
2.401 0.000 1.343
6.576 0.000 1.343
1.343 2.401 0.000
3.145 -2.088 4.489
0.000 1.343 2.401
4.489 3.145 2.088
1.343 6.576 0.000
3.145 2.088 4.489
-2.088 4.489 3.145
2.088 4.489 3.145
0.000 1.343 6.576
2.244 2.244 -2.244
2.244 -2.244 2.244
4.489 0.000 0.000
-2.244 2.244 2.244
0.000 4.489 0.000
0.000 0.000 4.489
2.244 2.244 2.244
0.000 0.000 0.000
```

The 10 most intense peaks (5 to 70 degrees two-theta), sorted by position:
Position (°2θ)  I (rel.)
13.95  89
28.11  47
31.51  42
34.61  16
37.48  57
40.18  56
42.73  17
45.17  40
49.76  100
63.93  14

---

No. 7
This entry pairs a crystal structure of Zn3Cu3Pt2 with its simulated XRD peak list. Radiation: Cu Kα X-rays. Structure: a cell relaxed with GGA-PBE.
No peak broadening, texture or thermal motion is included.

Structural model:
```
Zn3Cu3Pt2
1.0
3.820 0.000 0.000
0.000 3.839 0.000
0.000 0.000 7.443
Zn Cu Pt
3 3 2
Cartesian
0.000 0.000 0.000
0.000 0.000 3.722
1.910 1.920 0.000
0.000 1.920 1.883
0.000 1.920 5.560
1.910 1.920 3.722
1.910 0.000 1.864
1.910 0.000 5.579
```

The 10 most intense peaks (5 to 70 degrees two-theta), sorted by position:
Position (°2θ)  I (rel.)
23.17  10
23.29  10
23.91  9
33.08  8
33.58  16
41.23  100
47.36  17
47.62  16
48.95  15
69.42  10

---

No. 8
This entry pairs a crystal structure of Zn2Cu12Pt with its simulated XRD peak list. Radiation: Cu Kα X-rays. Structure: a cell relaxed with GGA-PBE.
No peak broadening, texture or thermal motion is included.

Structural model:
```
Zn2Cu12Pt
1.0
2.583 0.000 0.000
0.000 4.185 0.000
0.000 0.000 18.532
Zn Cu Pt
2 12 1
Cartesian
0.000 0.000 4.459
0.000 0.000 14.073
0.000 2.092 1.181
0.000 2.092 7.812
0.000 2.092 10.720
0.000 2.092 17.351
1.292 0.000 1.872
1.292 0.000 6.942
1.292 0.000 11.589
1.292 0.000 16.660
1.292 2.092 3.280
1.292 2.092 5.639
1.292 2.092 12.893
1.292 2.092 15.251
0.000 0.000 9.266
```

The 10 most intense peaks (5 to 70 degrees two-theta), sorted by position:
Position (°2θ)  I (rel.)
21.77  24
36.10  27
39.96  41
40.31  34
42.26  30
43.24  77
43.71  23
44.71  100
45.69  80
51.00  48